Diffraction record for Ca2Nb2WO8. The powder X-ray diffraction pattern is theoretical, not measured: it uses a cell relaxed with GGA+U and Cu Kα (weighted mean of Kα1 and Kα2).
Lines closer than 0.1° are merged.

```
data_Ca2Nb2WO8
_cell_length_a 5.611
_cell_length_b 6.319
_cell_length_c 10.112
_cell_angle_alpha 108.06
_cell_angle_beta 92.64
_cell_angle_gamma 90.79
_space_group_name_H-M_alt 'P 1'
_space_group_IT_number 1
_space_group_name_Hall 'P 1'
loop_
_atom_site_label
_atom_site_type_symbol
_atom_site_fract_x
_atom_site_fract_y
_atom_site_fract_z
Ca1 Ca 0.000 0.000 0.000
Ca2 Ca 0.023 0.592 0.182
Ca3 Ca 0.499 0.370 0.010
Ca4 Ca 0.528 0.953 0.173
Nb1 Nb 0.017 0.222 0.356
Nb2 Nb 0.022 0.447 0.815
Nb3 Nb 0.492 0.496 0.361
Nb4 Nb 0.522 0.739 0.812
W1 W 0.000 0.843 0.585
W2 W 0.506 0.116 0.585
O1 O 0.097 0.319 0.961
O2 O 0.141 0.562 0.431
O3 O 0.157 0.055 0.474
O4 O 0.251 0.717 0.940
O5 O 0.264 0.235 0.216
O6 O 0.347 0.418 0.719
O7 O 0.348 0.903 0.697
O8 O 0.422 0.639 0.214
O9 O 0.601 0.013 0.958
O10 O 0.649 0.786 0.477
O11 O 0.670 0.279 0.446
O12 O 0.746 0.593 0.939
O13 O 0.760 0.354 0.227
O14 O 0.850 0.166 0.698
O15 O 0.851 0.680 0.724
O16 O 0.923 0.941 0.210
```

Principal peaks in the range 2θ = 10–90°, most intense first:
hkl 1 -2 1, d 2.769, rel. 100.0; hkl 0 1 -3, d 3.281, rel. 96.5; hkl 0 1 1, d 4.496, rel. 94.5; hkl 2 0 0, d 2.801, rel. 76.4; hkl 1 2 -1, d 2.735, rel. 62.4; hkl -1 1 2, d 2.900, rel. 52.0; hkl 1 1 -3, d 2.878, rel. 50.3; hkl 1 -1 3, d 2.784, rel. 43.6; hkl 3 2 -1, d 1.598, rel. 29.4; hkl -1 1 1, d 3.592, rel. 27.6